(1)
Simulated XRD peak list of RuC4O4 for Cu Kα, 1.54184 Å, from the PBE geometry in the Materials Project.
Peak positions follow from Bragg's law for the DFT cell and can differ from measured ones.

Structure:
```
RuC4O4
1.0
-3.5841 7.1844 3.0101
3.5841 -7.1844 3.0101
3.5841 7.1844 -3.0101
Ru C O
2 8 8
Direct
0.0000 0.0000 0.0000
0.5000 0.5000 0.0000
0.0562 0.7534 0.8047
0.1235 0.1106 0.2304
0.3802 0.6106 0.9871
0.4487 0.2534 0.6971
0.5562 0.7516 0.3029
0.6235 0.3931 0.0129
0.8802 0.8931 0.7696
0.9487 0.2516 0.1953
0.0999 0.6160 0.6990
0.2032 0.1799 0.3765
0.3034 0.6799 0.9768
0.4170 0.1160 0.5161
0.5999 0.9009 0.4839
0.7032 0.3266 0.0232
0.8034 0.8266 0.6235
0.9170 0.4009 0.3010
```

Principal peaks in the range 5 to 70 degrees two-theta, low angle first:
2θ = 12.32°, rel. 80
2θ = 13.81°, rel. 100
2θ = 22.32°, rel. 22
2θ = 24.81°, rel. 13
2θ = 27.82°, rel. 21
2θ = 29.68°, rel. 50
2θ = 32.24°, rel. 15
2θ = 32.87°, rel. 24
2θ = 33.60°, rel. 20
2θ = 37.45°, rel. 12
2θ = 41.13°, rel. 15
2θ = 45.43°, rel. 16


(2)
Simulated XRD peak list of RuC4O4 for Cu Kα, 1.54184 Å, from the PBE geometry in the Materials Project.
Peak positions follow from Bragg's law for the DFT cell and can differ from measured ones.

Structure:
```
RuC4O4
1.0
-3.5946 7.2157 2.9622
3.5946 -7.2157 2.9622
3.5946 7.2157 -2.9622
Ru C O
2 8 8
Direct
0.0000 0.0000 0.0000
0.5000 0.5000 0.0000
0.0562 0.7537 0.8099
0.1232 0.1123 0.2355
0.3768 0.6123 0.9891
0.4438 0.2537 0.6975
0.5562 0.7463 0.3025
0.6232 0.3877 0.0109
0.8768 0.8877 0.7645
0.9438 0.2463 0.1901
0.0898 0.6072 0.6970
0.1962 0.1794 0.3756
0.3038 0.6794 0.9832
0.4102 0.1072 0.5173
0.5898 0.8928 0.4827
0.6962 0.3206 0.0168
0.8038 0.8206 0.6244
0.9102 0.3928 0.3030
```

Principal peaks in the range 5 to 70 degrees two-theta, low angle first:
2θ = 12.27°, rel. 81
2θ = 13.76°, rel. 100
2θ = 22.24°, rel. 22
2θ = 24.72°, rel. 12
2θ = 27.73°, rel. 22
2θ = 30.17°, rel. 36
2θ = 31.59°, rel. 12
2θ = 32.68°, rel. 14
2θ = 33.30°, rel. 22
2θ = 33.45°, rel. 20
2θ = 41.43°, rel. 14
2θ = 45.66°, rel. 16